Computed powder X-ray diffraction pattern of TmAlAu for Cu Kα, 1.54184 Å, from a cell relaxed with GGA-PBE.
Peak positions follow from Bragg's law for the DFT cell and can differ from measured ones.

Structure:
Cell: 7.0970 4.4002 7.8148 Å, 90.00 90.00 90.00°
Space group Pnma (No. 62)
Inequivalent atoms, fractional coordinates:
Tm 0.0106 0.2500 0.1919
Al 0.1668 0.2500 0.5737
Au 0.2167 0.7500 0.3970

Peak list (10 most intense, 10 to 80 degrees two-theta, by intensity)
34.4 deg, d 2.604, I = 100.0
26.4 deg, d 3.373, I = 50.2
33.2 deg, d 2.702, I = 39.7
40.2 deg, d 2.242, I = 37.2
26.0 deg, d 3.423, I = 35.3
41.0 deg, d 2.200, I = 32.7
34.1 deg, d 2.627, I = 23.0
74.3 deg, d 1.277, I = 18.3
39.8 deg, d 2.264, I = 14.2
65.5 deg, d 1.425, I = 13.4